Computed PXRD pattern of HfCd for λ = 1.5418 Å (Cu Kα), from a structure optimized by DFT (GGA-PBE).

Structure:
Cell: 3.2239 3.2239 30.0004 Å, 90.00 90.00 120.00°
Space group R-3m (No. 166, hexagonal axes)
One atom of each set of equivalent atoms:
Hf  0.0000  0.0000  0.2063 [6 per cell]
Cd  0.0000  0.0000  0.3753 [6 per cell]

Top 8 peaks for 2θ from 10° to 80°, in order of rising 2θ:
32.6°, rel. 43.2, (0 1 2); 35.5°, rel. 100.0, (0 1 5); 35.9°, rel. 41.5, (0 0 12); 38.5°, rel. 74.5, (1 0 7); 44.3°, rel. 22.4, (1 0 10); 57.1°, rel. 32.6, (1 1 0); 62.2°, rel. 20.1, (0 1 17); 69.4°, rel. 35.7, (1 1 12)